(1)
CaYTe2O8: simulated PXRD pattern (Cu Kα (weighted mean of Kα1 and Kα2)), based on a PBE-relaxed structure.
Peak positions follow from Bragg's law for the DFT cell and can differ from measured ones.

Largest 10 diffraction maxima, in order of falling intensity, 2θ from 10° to 90°:
2θ/deg, I (rel.)
23.94, 100
31.34, 72
47.00, 63
29.92, 23
34.11, 20
59.34, 20
17.68, 18
49.01, 17
55.26, 14
59.84, 13

Cell and atoms:
```
12
Lattice="-3.7170 3.7170 3.3991 3.7170 -3.7170 3.3991 3.7170 3.7170 -3.3991" Properties=species:S:1:pos:R:3 pbc="T T T"
Ca 0.0000 0.0000 0.0000
Y 3.7170 0.0000 1.6996
Te 0.0000 0.0000 3.3991
Te 0.0000 3.7170 1.6996
O 2.2946 3.7170 -1.2709
O 1.4224 0.0000 2.1282
O 0.0000 2.3615 0.4057
O 3.7170 2.2946 1.2709
O 0.0000 5.0725 0.4057
O 0.0000 1.4224 4.6700
O -1.3555 3.7170 2.9934
O 1.3555 3.7170 2.9934
```

***

(2)
Ca3Ti2O7: simulated PXRD pattern (Cu Kα (weighted mean of Kα1 and Kα2)), based on a PBE-relaxed structure.
Peak positions follow from Bragg's law for the DFT cell and can differ from measured ones.

Largest 10 diffraction maxima, in order of falling intensity, 2θ from 10° to 90°:
2θ/deg, I (rel.)
32.54, 100
46.69, 74
32.31, 37
32.78, 35
58.36, 26
68.16, 19
57.77, 16
18.24, 15
57.91, 12
58.20, 11

Cell and atoms:
```
24
Lattice="9.7301 -2.7324 0.0000 9.7301 2.7324 0.0000 0.0000 0.0000 5.5407" Properties=species:S:1:pos:R:3 pbc="T T T"
Ca 6.0788 1.4122 2.3139
Ca 9.7301 1.3853 2.7703
Ca 13.3813 1.4122 2.3139
Ca 6.0788 -1.4122 5.0843
Ca 9.7301 -1.3853 0.0000
Ca 13.3813 -1.4122 5.0843
Ti 7.7819 1.3745 5.2610
Ti 11.6783 1.3745 5.2610
Ti 7.7819 -1.3745 2.4907
Ti 11.6783 -1.3745 2.4907
O 3.8483 0.9915 2.7067
O 1.6315 0.2114 4.2061
O 1.6315 -0.2114 1.4357
O 9.7301 0.9635 5.2620
O 7.5238 0.2269 3.7534
O 3.8483 -0.9915 5.4771
O 7.5238 -0.2269 0.9830
O 11.9364 0.2269 3.7534
O 15.6118 0.9915 2.7067
O 11.9364 -0.2269 0.9830
O 9.7301 -0.9635 2.4917
O 17.8286 0.2114 4.2061
O 17.8286 -0.2114 1.4357
O 15.6118 -0.9915 5.4771
```

***

(3)
CaTi2O4: simulated PXRD pattern (Cu Kα (weighted mean of Kα1 and Kα2)), based on a PBE-relaxed structure.
Peak positions follow from Bragg's law for the DFT cell and can differ from measured ones.

Largest 10 diffraction maxima, in order of falling intensity, 2θ from 10° to 90°:
2θ/deg, I (rel.)
15.55, 100
47.82, 90
38.62, 59
42.65, 38
63.01, 37
35.12, 34
60.76, 25
24.33, 24
31.40, 20
33.08, 17

Cell and atoms:
```
28
Lattice="5.9029 0.0000 0.0000 0.0000 11.3957 0.0000 0.0000 0.0000 5.1080" Properties=species:S:1:pos:R:3 pbc="T T T"
Ca 1.4757 2.8489 0.2126
Ca 1.4757 8.5468 1.7302
Ca 4.4271 2.8489 3.3778
Ca 4.4271 8.5468 4.8954
Ti 0.0000 0.0000 2.5540
Ti 0.0000 5.6979 2.5540
Ti 1.4757 5.8140 4.9789
Ti 1.4757 11.2796 4.9789
Ti 2.9514 0.0000 2.5540
Ti 2.9514 5.6979 2.5540
Ti 4.4271 0.1162 0.1291
Ti 4.4271 5.5817 0.1291
O 0.0210 1.2089 4.2841
O 0.0210 4.4889 4.2841
O 1.4757 1.0255 1.6628
O 1.4757 4.6723 1.6628
O 1.4757 6.9185 3.3396
O 1.4757 10.1751 3.3396
O 2.9305 1.2089 4.2841
O 2.9305 4.4889 4.2841
O 2.9724 6.9068 0.8239
O 2.9724 10.1868 0.8239
O 4.4271 1.2206 1.7685
O 4.4271 4.4772 1.7685
O 4.4271 6.7234 3.4452
O 4.4271 10.3702 3.4452
O 5.8819 6.9068 0.8239
O 5.8819 10.1868 0.8239
```

***

(4)
CaTi5O7: simulated PXRD pattern (Cu Kα (weighted mean of Kα1 and Kα2)), based on a PBE-relaxed structure.
Peak positions follow from Bragg's law for the DFT cell and can differ from measured ones.

Largest 10 diffraction maxima, in order of falling intensity, 2θ from 10° to 90°:
2θ/deg, I (rel.)
41.48, 100
35.14, 51
43.08, 42
60.97, 41
30.80, 36
34.34, 28
44.52, 27
36.91, 27
56.19, 25
40.50, 22

Cell and atoms:
```
26
Lattice="1.5195 -4.9945 0.0000 1.5195 4.9945 0.0000 0.0000 0.0000 17.8293" Properties=species:S:1:pos:R:3 pbc="T T T"
Ca 1.5195 3.0178 13.3720
Ca 1.5195 -3.0178 4.4573
Ti 0.0000 0.0000 0.0000
Ti 0.0000 0.0000 8.9147
Ti 1.5195 1.9805 1.2949
Ti 1.5195 1.9805 7.6198
Ti 1.5195 0.4611 11.5019
Ti 1.5195 0.4611 15.2422
Ti 1.5195 -0.4611 2.5872
Ti 1.5195 -0.4611 6.3275
Ti 1.5195 -1.9805 10.2095
Ti 1.5195 -1.9805 16.5345
O 1.5195 4.1320 11.0033
O 1.5195 4.1320 15.7408
O 1.5195 3.1396 2.9944
O 1.5195 3.1396 5.9203
O 1.5195 1.5395 9.6562
O 1.5195 1.5395 17.0878
O 1.5195 0.1938 4.4573
O 1.5195 -0.1938 13.3720
O 1.5195 -1.5395 0.7415
O 1.5195 -1.5395 8.1732
O 1.5195 -3.1396 11.9091
O 1.5195 -3.1396 14.8349
O 1.5195 -4.1320 2.0886
O 1.5195 -4.1320 6.8261
```

***

(5)
Ca4TiO6: simulated PXRD pattern (Cu Kα (weighted mean of Kα1 and Kα2)), based on a PBE-relaxed structure.
Peak positions follow from Bragg's law for the DFT cell and can differ from measured ones.

Largest 10 diffraction maxima, in order of falling intensity, 2θ from 10° to 90°:
2θ/deg, I (rel.)
32.48, 100
18.92, 76
28.36, 65
29.27, 55
39.04, 52
32.38, 50
30.03, 47
27.37, 42
31.13, 41
35.73, 39

Cell and atoms:
```
22
Lattice="5.5659 -2.9760 0.0000 5.5659 2.9760 0.0000 -4.1470 0.0000 10.9240" Properties=species:S:1:pos:R:3 pbc="T T T"
Ca 2.9677 1.6706 1.9643
Ca -1.1919 0.8751 9.2474
Ca 3.4924 2.1105 5.4620
Ca 0.8816 -0.8751 3.7854
Ca 2.6328 0.9671 8.5222
Ca 0.8942 -1.6706 7.4263
Ca 4.7063 -0.9671 3.0602
Ca 5.5659 -2.1105 0.0000
Ti 0.5382 1.4961 6.1500
Ti 2.6117 -1.4961 0.6880
O 0.8743 0.8338 2.1495
O 2.7998 2.1382 10.4319
O -1.1992 -0.8338 7.6115
O 4.3899 1.1751 3.5965
O 1.9004 0.2919 6.1387
O 3.9739 -0.2919 0.6767
O 8.0379 1.0120 2.4842
O 2.3164 -1.1751 9.0584
O 6.8524 0.0510 5.4672
O 8.9259 -0.0510 0.0052
O 4.8733 -2.1382 4.9699
O 5.9644 -1.0120 7.9462
```

***

(6)
Ca2Ti3O8: simulated PXRD pattern (Cu Kα (weighted mean of Kα1 and Kα2)), based on a PBE-relaxed structure.
Peak positions follow from Bragg's law for the DFT cell and can differ from measured ones.

Largest 10 diffraction maxima, in order of falling intensity, 2θ from 10° to 90°:
2θ/deg, I (rel.)
16.76, 100
33.96, 89
23.82, 72
55.69, 72
30.49, 62
35.06, 57
60.83, 52
48.77, 43
52.74, 37
42.81, 36

Cell and atoms:
```
26
Lattice="6.0914 0.0000 0.0000 -3.0457 5.2753 0.0000 0.0000 0.0000 10.5810" Properties=species:S:1:pos:R:3 pbc="T T T"
Ca 0.0000 3.5169 0.0000
Ca 0.0000 3.5169 4.2879
Ca 3.0457 1.7584 5.2905
Ca 3.0457 1.7584 9.5784
Ti 0.0000 1.7192 7.6313
Ti -1.5568 4.4157 7.6313
Ti 1.4889 0.8596 2.3408
Ti 1.5568 4.4157 7.6313
Ti 4.6025 0.8596 2.3408
Ti 3.0457 3.5561 2.3408
O 0.0000 0.0000 3.3856
O 0.0000 0.0000 8.6761
O -1.3149 2.7577 8.7372
O 0.0000 1.6439 1.3859
O -1.6221 4.4534 1.3859
O 1.4237 0.8219 6.6764
O 0.0000 3.5169 6.5626
O 1.3149 2.7577 8.7372
O 0.0000 5.0352 8.7372
O 3.0457 0.2401 3.4467
O 1.7308 2.5176 3.4467
O 3.0457 1.7584 1.2721
O 1.6221 4.4534 1.3859
O 4.6678 0.8219 6.6764
O 3.0457 3.6314 6.6764
O 4.3606 2.5176 3.4467
```

***

(7)
CaTiO2: simulated PXRD pattern (Cu Kα (weighted mean of Kα1 and Kα2)), based on a PBE-relaxed structure.
Peak positions follow from Bragg's law for the DFT cell and can differ from measured ones.

Largest 10 diffraction maxima, in order of falling intensity, 2θ from 10° to 90°:
2θ/deg, I (rel.)
41.08, 100
32.94, 74
31.76, 64
10.73, 41
33.26, 28
37.17, 24
59.56, 22
21.01, 22
40.89, 21
54.50, 20

Cell and atoms:
```
16
Lattice="3.1044 0.0000 0.0000 0.0073 8.2873 0.0000 0.0211 0.8409 8.4584" Properties=species:S:1:pos:R:3 pbc="T T T"
Ca 0.7830 0.7768 2.0900
Ca 0.7896 3.0837 4.4807
Ca 2.3433 6.0446 3.9776
Ca 2.3498 8.3514 6.3684
Ti 0.7911 5.4637 7.0186
Ti 0.7915 6.0228 1.1175
Ti 2.3413 3.1054 7.3408
Ti 2.3417 3.6646 1.4397
O 0.7895 1.9349 6.5085
O 0.7918 7.0252 5.2198
O 0.8028 7.3023 7.7926
O 0.7893 4.6297 2.6480
O 2.3435 4.4985 5.8104
O 2.3300 1.8259 0.6658
O 2.3410 2.1030 3.2386
O 2.3433 7.1933 1.9499
```